The following is a theoretical X-ray diffraction stick pattern of PuPb3. It was derived from a DFT-relaxed cell (GGA-PBE, the Materials Project), using a wavelength of 1.5418 Å.
Kinematic intensities with the Lorentz-polarization factor, no thermal factor.

Crystal structure
a = 4.8121 Å, b = 4.8121 Å, c = 4.8121 Å
α = 90.00°, β = 90.00°, γ = 90.00°
Space group Pm-3m (No. 221)
Inequivalent atoms, fractional coordinates:
Pu (0.0000, 0.0000, 0.0000) (multiplicity 1)
Pb (0.0000, 0.5000, 0.5000) (multiplicity 3)

Peak list (5 most intense, 5° ≤ 2θ ≤ 70°, by angle)
| 2θ (°) | d [Å] | I_rel | h k l |
| --- | --- | --- | --- |
| 32.22 | 2.778 | 1000 | 1 1 1 |
| 37.38 | 2.406 | 508 | 2 0 0 |
| 53.89 | 1.701 | 363 | 2 2 0 |
| 64.19 | 1.451 | 434 | 3 1 1 |
| 67.42 | 1.389 | 126 | 2 2 2 |